For LiPuB12, DFT lattice parameters and positions (GGA-PBE) gives the calculated X-ray powder pattern in this record (copper Kα).

Crystal structure
Unit cell a=4.122 b=4.122 c=8.247 alpha=90.00 beta=90.00 gamma=90.00
Space group P4/mmm (No. 123)
Asymmetric unit:
Li (0.000, 0.000, 0.000) [1 per cell]
Pu (0.000, 0.000, 0.500) [1 per cell]
B (0.200, 0.500, 0.251) [8 per cell]
B (0.500, 0.500, 0.101) [2 per cell]
B (0.500, 0.500, 0.401) [2 per cell]

The 10 most intense peaks (2θ from 5° to 70°), low angle first:
2θ/deg  I_rel  h k l
10.73  1000  0 0 1
21.55  363  1 0 0
24.14  657  1 0 1
30.67  666  1 1 0
32.58  390  1 1 1
37.80  290  1 1 2
39.40  189  1 0 3
45.35  258  1 1 3
49.43  338  2 1 0
68.25  201  2 2 2